Entry 1:
Simulated powder XRD pattern of Ce3Se3Br for Cu Kα, 1.54184 Å, from a structure optimized by DFT (GGA-PBE).
No peak broadening, texture or thermal motion is included.

Atomic structure:
Unit cell a=4.197 b=4.197 c=11.787 alpha=90.00 beta=90.00 gamma=90.00
Space group P4/mmm (No. 123)
Inequivalent atoms, fractional coordinates:
Ce1 0.000 0.000 0.000
Ce2 0.500 0.500 0.253
Se1 0.000 0.000 0.256
Se2 0.500 0.500 0.000
Br1 0.500 0.500 0.500

Most intense lines, 2θ from 15° to 90°, by angle:
| 2θ/deg | I (rel.) | index |
| --- | --- | --- |
| 30.11 | 100 | 1 1 0 |
| 30.33 | 49 | 0 0 4 |
| 43.11 | 37 | 2 0 0 |
| 43.27 | 73 | 1 1 4 |
| 53.62 | 39 | 2 0 4 |
| 79.15 | 25 | 3 1 4 |

Entry 2:
Simulated powder XRD pattern of Ac3ThS6 for Cu Kα, 1.54184 Å, from a structure optimized by DFT (GGA-PBE).
No peak broadening, texture or thermal motion is included.

Atomic structure:
Unit cell a=7.256 b=7.895 c=12.266 alpha=90.00 beta=122.65 gamma=90.00
Space group P2_1/c (No. 14)
Inequivalent atoms, fractional coordinates:
Ac1 0.000 0.000 0.000
Ac2 0.204 0.078 0.728
Th1 0.500 0.000 0.500
S1 0.132 0.172 0.451
S2 0.232 0.707 0.407
S3 0.410 0.083 0.254

Most intense lines, 2θ from 15° to 90°, by angle:
| 2θ/deg | I (rel.) | index |
| --- | --- | --- |
| 22.52 | 27 | 0 2 0 |
| 23.42 | 71 | 1 1 1 |
| 24.54 | 100 | 1 1 -3 |
| 33.58 | 27 | 2 2 -2 |
| 41.91 | 19 | 3 1 -1 |
| 43.89 | 24 | 3 1 -5 |

Entry 3:
Simulated powder XRD pattern of Pm2YEr2 for Cu Kα, 1.54184 Å, from a structure optimized by DFT (GGA-PBE).
No peak broadening, texture or thermal motion is included.

Atomic structure:
Unit cell a=11.302 b=5.056 c=7.989 alpha=90.00 beta=134.85 gamma=90.00
Space group C2/m (No. 12)
Inequivalent atoms, fractional coordinates:
Pm1 0.201 0.000 0.299
Y1 0.000 0.000 0.500
Er1 0.101 0.500 0.902

Most intense lines, 2θ from 15° to 90°, by angle:
| 2θ/deg | I (rel.) | index |
| --- | --- | --- |
| 30.61 | 100 | 1 1 1 |
| 35.49 | 50 | 0 2 0 |
| 51.09 | 30 | 6 0 -4 |
| 60.64 | 14 | 5 1 0 |
| 60.76 | 28 | 1 3 1 |
| 85.93 | 8 | 8 2 -2 |

Entry 4:
Simulated powder XRD pattern of KNaNb2C for Cu Kα, 1.54184 Å, from a structure optimized by DFT (GGA-PBE).
No peak broadening, texture or thermal motion is included.

Atomic structure:
Unit cell a=4.325 b=4.325 c=5.981 alpha=90.00 beta=90.00 gamma=90.00
Space group P4/mmm (No. 123)
Inequivalent atoms, fractional coordinates:
K1 0.000 0.000 0.000
Na1 0.500 0.500 0.000
Nb1 0.000 0.500 0.500
C1 0.000 0.000 0.500

Most intense lines, 2θ from 15° to 90°, by angle:
| 2θ/deg | I (rel.) | index |
| --- | --- | --- |
| 29.88 | 39 | 0 0 2 |
| 32.89 | 100 | 1 1 1 |
| 41.77 | 30 | 2 0 0 |
| 52.20 | 30 | 2 0 2 |
| 54.98 | 22 | 1 1 3 |
| 70.65 | 20 | 3 1 1 |